This entry pairs a crystal structure of In2PbS with its computed X-ray powder pattern. Radiation: Cu Kα. Structure: a crystal structure in Alexandria, relaxed with GGA-PBE.

Largest 10 diffraction maxima, in order of rising 2θ, 2θ = 10–90°:
- d = 5.775 Å, I = 23
- d = 3.732 Å, I = 100
- d = 3.596 Å, I = 16
- d = 2.814 Å, I = 19
- d = 2.288 Å, I = 53
- d = 2.279 Å, I = 25
- d = 1.957 Å, I = 17
- d = 1.945 Å, I = 31
- d = 1.484 Å, I = 13
- d = 1.318 Å, I = 16

Crystal structure
abc: 6.4459 6.4459 12.9974
angles: 90.00 90.00 90.00
Fractional coordinates of all 16 atoms:
In: 0.2222 0.2500 0.1250
In: 0.2500 0.7222 0.3750
In: 0.2500 0.7778 0.8750
In: 0.2778 0.2500 0.6250
In: 0.7222 0.7500 0.6250
In: 0.7500 0.2222 0.8750
In: 0.7500 0.2778 0.3750
In: 0.7778 0.7500 0.1250
Pb: 0.0000 0.0000 0.5000
Pb: 0.0000 0.5000 0.7500
Pb: 0.5000 0.0000 0.2500
Pb: 0.5000 0.5000 0.0000
S: 0.0000 0.0000 0.0000
S: 0.0000 0.5000 0.2500
S: 0.5000 0.0000 0.7500
S: 0.5000 0.5000 0.5000


This entry pairs a crystal structure of InPb2S5 with its computed X-ray powder pattern. Radiation: Cu Kα. Structure: a crystal structure in Alexandria, relaxed with GGA-PBE.

Largest 10 diffraction maxima, in order of rising 2θ, 2θ = 10–90°:
- d = 6.279 Å, I = 49
- d = 3.770 Å, I = 100
- d = 3.468 Å, I = 30
- d = 3.206 Å, I = 29
- d = 3.139 Å, I = 34
- d = 3.017 Å, I = 50
- d = 2.794 Å, I = 31
- d = 2.651 Å, I = 41
- d = 2.356 Å, I = 36
- d = 2.252 Å, I = 27

Crystal structure
abc: 7.8833 9.4290 7.1362
angles: 90.00 118.37 90.00
Fractional coordinates of all 16 atoms:
In: 0.0000 0.0000 0.0000
In: 0.5000 0.5000 0.0000
Pb: 0.3918 0.2598 0.5083
Pb: 0.3918 0.7402 0.5083
Pb: 0.8918 0.2402 0.5083
Pb: 0.8918 0.7598 0.5083
S: 0.0141 0.2227 0.1912
S: 0.0141 0.7773 0.1912
S: 0.2018 0.0000 0.6356
S: 0.2319 0.5000 0.6275
S: 0.3117 0.0000 0.9542
S: 0.5141 0.2773 0.1912
S: 0.5141 0.7227 0.1912
S: 0.7018 0.5000 0.6356
S: 0.7319 0.0000 0.6275
S: 0.8117 0.5000 0.9542


This entry pairs a crystal structure of In2PbS with its computed X-ray powder pattern. Radiation: Cu Kα. Structure: a crystal structure in Alexandria, relaxed with GGA-PBE.

Largest 10 diffraction maxima, in order of rising 2θ, 2θ = 10–90°:
- d = 3.184 Å, I = 28
- d = 3.121 Å, I = 23
- d = 3.022 Å, I = 31
- d = 2.900 Å, I = 61
- d = 2.762 Å, I = 100
- d = 2.473 Å, I = 28
- d = 2.074 Å, I = 20
- d = 1.851 Å, I = 38
- d = 1.579 Å, I = 27
- d = 1.538 Å, I = 17

Crystal structure
abc: 3.7023 3.7023 27.1990
angles: 90.00 90.00 120.00
Fractional coordinates of all 12 atoms:
In: 0.0000 0.0000 0.0000
In: 0.0000 0.0000 0.2001
In: 0.3333 0.6667 0.6667
In: 0.3333 0.6667 0.8667
In: 0.6667 0.3333 0.3333
In: 0.6667 0.3333 0.5334
Pb: 0.0000 0.0000 0.4303
Pb: 0.3333 0.6667 0.0970
Pb: 0.6667 0.3333 0.7637
S: 0.0000 0.0000 0.6032
S: 0.3333 0.6667 0.2699
S: 0.6667 0.3333 0.9365


This entry pairs a crystal structure of InPb5S5 with its computed X-ray powder pattern. Radiation: Cu Kα. Structure: a crystal structure in Alexandria, relaxed with GGA-PBE.

Largest 10 diffraction maxima, in order of rising 2θ, 2θ = 10–90°:
- d = 3.394 Å, I = 100
- d = 2.948 Å, I = 32
- d = 2.934 Å, I = 63
- d = 2.080 Å, I = 60
- d = 2.072 Å, I = 12
- d = 1.776 Å, I = 17
- d = 1.772 Å, I = 17
- d = 1.769 Å, I = 16
- d = 1.699 Å, I = 12
- d = 1.695 Å, I = 12

Crystal structure
abc: 7.1982 7.1982 8.2860
angles: 106.63 106.63 48.36
Fractional coordinates of all 11 atoms:
In: 0.0000 0.0000 0.0000
Pb: 0.0000 0.0000 0.5000
Pb: 0.3372 0.3372 0.1753
Pb: 0.3395 0.3395 0.6602
Pb: 0.6605 0.6605 0.3398
Pb: 0.6628 0.6628 0.8247
S: 0.1644 0.1644 0.3293
S: 0.1771 0.1771 0.8367
S: 0.5000 0.5000 0.0000
S: 0.8229 0.8229 0.1633
S: 0.8356 0.8356 0.6707